For LaTb8Sc3, a cell relaxed with GGA-PBE gives the theoretical X-ray diffraction stick pattern in this record (λ = 1.5418 Å (Cu Kα)).
Peak positions follow from Bragg's law for the DFT cell and can differ from measured ones.

Cell lengths 8.5430, 8.5430, 8.5430 Å; angles 135.73, 100.03, 96.30 degrees
Atoms (fractional coordinates):
La 0.0000 0.0000 0.0000
Tb 0.0873 0.2544 0.8330
Tb 0.2824 0.2308 0.5132
Tb 0.2824 0.7692 0.0516
Tb 0.4214 0.2544 0.1670
Tb 0.5786 0.7456 0.8330
Tb 0.7176 0.2308 0.9484
Tb 0.7176 0.7692 0.4868
Tb 0.9127 0.7456 0.1670
Sc 0.2905 0.7905 0.5000
Sc 0.5000 0.5000 0.0000
Sc 0.7095 0.2095 0.5000

The 10 most intense peaks (10 to 80 degrees two-theta), sorted by position:
Position (°2θ)	Rel. int.
15.96	41
16.15	50
31.39	59
31.93	66
32.22	100
35.45	31
35.98	71
36.33	26
56.21	22
58.90	20